# 1
Starting from a crystal structure in Alexandria, relaxed with GGA-PBE, the X-ray powder pattern of Rb3Pr3TaS8 was calculated for a wavelength of 1.5418 Å.
Peak positions follow from Bragg's law for the DFT cell and can differ from measured ones.

The 8 most intense peaks (2θ from 5° to 70°), low angle first:
| two_theta | d (Å) | intensity |
| --- | --- | --- |
| 11.2 | 7.896 | 54.2 |
| 22.5 | 3.947 | 26.1 |
| 26.3 | 3.387 | 41.3 |
| 29.4 | 3.035 | 100.0 |
| 39.7 | 2.270 | 36.4 |
| 44.4 | 2.041 | 32.0 |
| 50.3 | 1.813 | 19.2 |
| 54.2 | 1.694 | 16.3 |

Atomic structure:
Unit cell a=9.1954 b=9.1954 c=9.1954 alpha=52.70 beta=52.70 gamma=52.70
Atoms (fractional coordinates):
Rb 0.0000 0.5000 0.5000
Rb 0.5000 0.0000 0.5000
Rb 0.5000 0.5000 0.0000
Pr 0.0000 0.0000 0.5000
Pr 0.0000 0.5000 0.0000
Pr 0.5000 0.0000 0.0000
Ta 0.5000 0.5000 0.5000
S 0.2346 0.2346 0.2346
S 0.2654 0.7086 0.7086
S 0.2914 0.2914 0.7346
S 0.2914 0.7346 0.2914
S 0.7086 0.2654 0.7086
S 0.7086 0.7086 0.2654
S 0.7346 0.2914 0.2914
S 0.7654 0.7654 0.7654

# 2
Starting from a crystal structure in Alexandria, relaxed with GGA-PBE, the X-ray powder pattern of Mn2GaSe2 was calculated for a wavelength of 1.5418 Å.
Peak positions follow from Bragg's law for the DFT cell and can differ from measured ones.

The 8 most intense peaks (2θ from 5° to 70°), low angle first:
| two_theta | d (Å) | intensity |
| --- | --- | --- |
| 29.3 | 3.045 | 100.0 |
| 30.3 | 2.952 | 32.1 |
| 37.0 | 2.430 | 73.3 |
| 39.3 | 2.292 | 69.1 |
| 40.8 | 2.212 | 50.0 |
| 47.9 | 1.899 | 49.2 |
| 50.2 | 1.818 | 29.5 |
| 56.2 | 1.636 | 37.1 |

Atomic structure:
Unit cell a=3.6360 b=6.0805 c=6.0805 alpha=47.11 beta=90.00 gamma=90.00
Atoms (fractional coordinates):
Mn 0.0000 0.0000 0.0000
Mn 0.5000 0.4006 0.4006
Ga 0.5000 0.1716 0.1716
Se 0.0000 0.5560 0.5560
Se 0.5000 0.8427 0.8427